# TiMo4
Theoretical PXRD pattern, copper Kα. Input: a structure optimized by DFT (GGA-PBE).

Structure:
Cell: 7.714 4.467 5.258 Å, 90.00 119.37 90.00°
Space group C2/m (No. 12)
Asymmetric unit:
Ti (0.000, 0.000, 0.000) (multiplicity 2)
Mo (0.098, 0.500, 0.796) (multiplicity 4)
Mo (0.204, 0.000, 0.611) (multiplicity 4)

Top 10 peaks for 2θ = 10–80°, by angle:
| hkl | 2theta | Rel. int. |
| --- | --- | --- |
| 0 0 1 | 19.4 | 2 |
| 1 1 0 | 23.9 | 6 |
| 1 1 -1 | 26.5 | 4 |
| 2 0 1 | 40.3 | 100 |
| 0 2 0 | 40.4 | 99 |
| 2 2 1 | 58.4 | 32 |
| 1 1 3 | 73.1 | 16 |
| 4 2 -3 | 73.4 | 22 |
| 3 3 -1 | 73.5 | 21 |
| 6 0 -2 | 73.7 | 5 |

---

# Na2LiTaF
Theoretical PXRD pattern, copper Kα. Input: a structure optimized by DFT (GGA-PBE).

Structure:
Cell: 6.352 6.352 4.016 Å, 90.00 90.00 90.00°
Space group P4/mmm (No. 123)
Asymmetric unit:
Na (0.000, 0.500, 0.000) (multiplicity 2)
Li (0.000, 0.000, 0.500) (multiplicity 1)
Ta (0.500, 0.500, 0.000) (multiplicity 1)
F (0.500, 0.500, 0.500) (multiplicity 1)

Top 10 peaks for 2θ = 10–80°, by angle:
| hkl | 2theta | Rel. int. |
| --- | --- | --- |
| 1 0 0 | 13.9 | 100 |
| 1 1 0 | 19.8 | 29 |
| 0 0 1 | 22.1 | 19 |
| 1 0 1 | 26.3 | 32 |
| 2 0 0 | 28.1 | 33 |
| 2 1 0 | 31.5 | 29 |
| 2 0 1 | 36.1 | 22 |
| 2 1 1 | 38.8 | 24 |
| 2 2 0 | 40.2 | 13 |
| 0 0 2 | 45.1 | 11 |

---

Please write out number 1 again, unchanged.
# TiMo4
Theoretical PXRD pattern, copper Kα. Input: a structure optimized by DFT (GGA-PBE).

Structure:
Cell: 7.714 4.467 5.258 Å, 90.00 119.37 90.00°
Space group C2/m (No. 12)
Asymmetric unit:
Ti (0.000, 0.000, 0.000) (multiplicity 2)
Mo (0.098, 0.500, 0.796) (multiplicity 4)
Mo (0.204, 0.000, 0.611) (multiplicity 4)

Top 10 peaks for 2θ = 10–80°, by angle:
| hkl | 2theta | Rel. int. |
| --- | --- | --- |
| 0 0 1 | 19.4 | 2 |
| 1 1 0 | 23.9 | 6 |
| 1 1 -1 | 26.5 | 4 |
| 2 0 1 | 40.3 | 100 |
| 0 2 0 | 40.4 | 99 |
| 2 2 1 | 58.4 | 32 |
| 1 1 3 | 73.1 | 16 |
| 4 2 -3 | 73.4 | 22 |
| 3 3 -1 | 73.5 | 21 |
| 6 0 -2 | 73.7 | 5 |

---

What did the first record say?
# TiMo4
Theoretical PXRD pattern, copper Kα. Input: a structure optimized by DFT (GGA-PBE).

Structure:
Cell: 7.714 4.467 5.258 Å, 90.00 119.37 90.00°
Space group C2/m (No. 12)
Asymmetric unit:
Ti (0.000, 0.000, 0.000) (multiplicity 2)
Mo (0.098, 0.500, 0.796) (multiplicity 4)
Mo (0.204, 0.000, 0.611) (multiplicity 4)

Top 10 peaks for 2θ = 10–80°, by angle:
| hkl | 2theta | Rel. int. |
| --- | --- | --- |
| 0 0 1 | 19.4 | 2 |
| 1 1 0 | 23.9 | 6 |
| 1 1 -1 | 26.5 | 4 |
| 2 0 1 | 40.3 | 100 |
| 0 2 0 | 40.4 | 99 |
| 2 2 1 | 58.4 | 32 |
| 1 1 3 | 73.1 | 16 |
| 4 2 -3 | 73.4 | 22 |
| 3 3 -1 | 73.5 | 21 |
| 6 0 -2 | 73.7 | 5 |

---

What is the formula in the second record?
Na2LiTaF